Entry 1:
Structure and theoretical powder X-ray diffraction pattern of Sm2Ta3S2O8 (a crystal structure in the Materials Project, relaxed with GGA-PBE; λ = 1.5418 Å (Cu Kα)).
Intensities are scaled so that the largest is 100.

Crystal structure
a = 9.9090 Å, b = 11.6859 Å, c = 3.7912 Å
α = 90.00°, β = 90.00°, γ = 90.00°
Atoms (fractional coordinates):
1 Sm 0.2176 0.1565 0.4988
2 Sm 0.2824 0.6565 0.5012
3 Sm 0.7176 0.3435 0.5012
4 Sm 0.7824 0.8435 0.4988
5 Ta 0.0000 0.5000 0.0176
6 Ta 0.1357 0.9164 0.9997
7 Ta 0.3643 0.4164 0.0003
8 Ta 0.5000 0.0000 0.9824
9 Ta 0.6357 0.5836 0.0003
10 Ta 0.8643 0.0836 0.9997
11 S 0.0167 0.3525 0.5134
12 S 0.4833 0.8525 0.4866
13 S 0.5167 0.1475 0.4866
14 S 0.9833 0.6475 0.5134
15 O 0.0575 0.1070 0.0003
16 O 0.1429 0.9536 0.4994
17 O 0.1972 0.5271 0.0038
18 O 0.2175 0.7729 0.0009
19 O 0.2825 0.2729 0.9991
20 O 0.3028 0.0271 0.9962
21 O 0.3571 0.4536 0.5006
22 O 0.4425 0.6070 0.9997
23 O 0.5575 0.3930 0.9997
24 O 0.6429 0.5464 0.5006
25 O 0.6972 0.9729 0.9962
26 O 0.7175 0.7271 0.9991
27 O 0.7825 0.2271 0.0009
28 O 0.8028 0.4729 0.0038
29 O 0.8571 0.0464 0.4994
30 O 0.9425 0.8930 0.0003

Largest 8 diffraction maxima, in order of rising 2θ, 10 to 90 degrees two-theta:
2θ 15.16, rel. 27; 2θ 23.52, rel. 26; 2θ 28.07, rel. 100; 2θ 29.50, rel. 73; 2θ 30.65, rel. 28; 2θ 31.10, rel. 22; 2θ 31.94, rel. 23; 2θ 48.00, rel. 33



Entry 2:
Structure and theoretical powder X-ray diffraction pattern of Sm2Ti2S2O5 (a crystal structure in the Materials Project, relaxed with GGA-PBE; λ = 1.5418 Å (Cu Kα)).
Intensities are scaled so that the largest is 100.

Crystal structure
a = 11.9280 Å, b = 11.9280 Å, c = 11.9280 Å
α = 161.46°, β = 161.46°, γ = 26.34°
Atoms (fractional coordinates):
1 Sm 0.1661 0.1661 0.0000
2 Sm 0.8339 0.8339 0.0000
3 Ti 0.4220 0.4220 0.0000
4 Ti 0.5780 0.5780 0.0000
5 S 0.2958 0.2958 0.0000
6 S 0.7042 0.7042 0.0000
7 O 0.0977 0.5977 0.5000
8 O 0.4023 0.9023 0.5000
9 O 0.5000 0.5000 0.0000
10 O 0.5977 0.0977 0.5000
11 O 0.9023 0.4023 0.5000

Largest 8 diffraction maxima, in order of rising 2θ, 10 to 90 degrees two-theta:
2θ 15.26, rel. 47; 2θ 25.88, rel. 100; 2θ 32.96, rel. 60; 2θ 35.75, rel. 48; 2θ 40.56, rel. 34; 2θ 42.18, rel. 37; 2θ 47.31, rel. 36; 2θ 54.71, rel. 26